Computed X-ray powder pattern of InAg2SnTe4 for Cu Kα (weighted mean of Kα1 and Kα2), from a structure optimized by DFT (GGA-PBE).
Intensities are scaled so that the largest is 100.

Peak list (8 most intense, 2θ = 5–70°, by intensity)
hkl  2θ/deg  I (rel.)
2 0 2  23.33  100.0
2 2 4  38.72  52.2
2 4 2  45.28  33.5
4 0 0  38.24  27.4
6 2 4  69.45  17.9
0 2 6  46.10  15.5
4 2 6  61.40  12.8
4 4 0  55.19  9.2

Structure:
```
data_InAg2SnTe4
_chemical_formula_sum 'In4 Ag8 Sn4 Te16'
_symmetry_space_group_name_H-M 'F m m 2'
_symmetry_Int_Tables_number 42
_symmetry_space_group_name_Hall 'F 2 -2'
_cell_length_a 9.4066
_cell_length_b 9.4219
_cell_length_c 13.0051
_cell_angle_alpha 90.00
_cell_angle_beta 90.00
_cell_angle_gamma 90.00
loop_
_atom_site_label
_atom_site_type_symbol
_atom_site_fract_x
_atom_site_fract_y
_atom_site_fract_z
In1 In 0.0000 0.0000 0.0000
Ag1 Ag 0.2500 0.2500 0.2498
Sn1 Sn 0.0000 0.0000 0.4996
Te1 Te 0.0000 0.2430 0.8679
Te2 Te 0.2435 0.0000 0.1321
```